No. 1
Starting from a DFT-relaxed cell (PBE, Alexandria), the PXRD pattern of LiTb3Ga2 was simulated for Cu Ka.
Kinematic intensities with the Lorentz-polarization factor, no thermal factor.

Main lines, sorted by position (2θ from 5° to 70°):
index	Position (°2θ)	d [Å]	Rel. int.
0 0 3	21.3	4.170	3.9
0 1 2	24.7	3.611	33.3
1 1 0	35.1	2.554	100.0
0 0 6	43.3	2.090	2.5
2 0 2	43.4	2.083	7.5
0 2 4	50.5	1.806	17.6
1 1 6	57.0	1.617	6.8
1 2 2	57.1	1.613	6.8
0 1 8	62.9	1.477	8.8
3 0 0	63.1	1.473	27.1

Atomic structure:
Cell: 5.1010 5.1010 12.5409 Å, 90.00 90.00 120.00°
Space group P-3m1 (No. 164)
One atom of each set of equivalent atoms:
Li (0.3333, 0.6667, 0.1731) (multiplicity 2)
Tb (0.0000, 0.0000, 0.2567) (multiplicity 2)
Tb (0.3333, 0.6667, 0.4217) (multiplicity 2)
Tb (0.3333, 0.6667, 0.9179) (multiplicity 2)
Ga (0.0000, 0.0000, 0.0000) (multiplicity 1)
Ga (0.0000, 0.0000, 0.5000) (multiplicity 1)
Ga (0.3333, 0.6667, 0.6790) (multiplicity 2)

No. 2
Starting from a DFT-relaxed cell (PBE, Alexandria), the PXRD pattern of Li3Tb3Ga8 was simulated for Cu Ka.
Kinematic intensities with the Lorentz-polarization factor, no thermal factor.

Main lines, sorted by position (2θ from 5° to 70°):
index	Position (°2θ)	d [Å]	Rel. int.
0 1 1	11.5	7.686	22.2
0 0 2	13.6	6.488	30.1
0 1 3	22.6	3.939	20.6
1 0 3	29.4	3.041	29.3
0 2 4	33.4	2.682	34.9
1 2 3	35.0	2.564	100.0
1 3 0	35.2	2.552	78.0
1 1 4	36.0	2.495	43.3
2 0 0	42.3	2.138	34.8
1 4 7	67.6	1.385	30.6

Atomic structure:
Cell: 4.276 9.539 12.976 Å, 90.00 90.00 90.00°
Space group Immm (No. 71)
One atom of each set of equivalent atoms:
Li (0.000, 0.000, 0.000) (multiplicity 2)
Li (0.000, 0.305, 0.500) (multiplicity 4)
Tb (0.000, 0.500, 0.000) (multiplicity 2)
Tb (0.000, 0.500, 0.297) (multiplicity 4)
Ga (0.000, 0.135, 0.346) (multiplicity 8)
Ga (0.000, 0.215, 0.140) (multiplicity 8)

No. 3
Starting from a DFT-relaxed cell (PBE, Alexandria), the PXRD pattern of Li2Tb2TmGa2 was simulated for Cu Ka.
Kinematic intensities with the Lorentz-polarization factor, no thermal factor.

Main lines, sorted by position (2θ from 5° to 70°):
index	Position (°2θ)	d [Å]	Rel. int.
1 0 1	22.7	3.915	100.0
1 0 7	32.8	2.731	66.1
0 1 8	35.4	2.535	85.8
1 1 0	39.4	2.286	72.3
0 2 1	46.0	1.974	15.6
0 2 7	52.2	1.753	17.8
2 0 8	54.0	1.698	25.6
1 1 15	67.1	1.395	21.6
2 1 7	67.3	1.391	16.5
1 2 8	68.9	1.363	24.5

Atomic structure:
Cell: 4.5714 4.5714 26.4012 Å, 90.00 90.00 120.00°
Space group R-3m (No. 166, hexagonal axes)
One atom of each set of equivalent atoms:
Li (0.0000, 0.0000, 0.1070) (multiplicity 6)
Tb (0.0000, 0.0000, 0.3748) (multiplicity 6)
Tm (0.0000, 0.0000, 0.5000) (multiplicity 3)
Ga (0.0000, 0.0000, 0.2361) (multiplicity 6)

No. 4
Starting from a DFT-relaxed cell (PBE, Alexandria), the PXRD pattern of Li2Ga7Tc2 was simulated for Cu Ka.
Kinematic intensities with the Lorentz-polarization factor, no thermal factor.

Main lines, sorted by position (2θ from 5° to 70°):
index	Position (°2θ)	d [Å]	Rel. int.
0 0 1	14.1	6.260	35.1
1 1 0	16.2	5.461	24.2
2 0 0	20.0	4.445	40.7
0 2 1	29.5	3.028	56.5
2 2 0	32.8	2.730	39.6
2 2 1	35.9	2.502	39.5
0 2 2	38.8	2.321	33.6
4 0 0	40.6	2.223	45.9
0 0 3	43.4	2.087	26.8
2 2 2	44.0	2.057	100.0

Atomic structure:
Cell: 8.890 6.920 6.260 Å, 90.00 90.10 90.00°
Space group C2/m (No. 12)
One atom of each set of equivalent atoms:
Li (0.000, 0.168, 0.000) (multiplicity 4)
Ga (0.000, 0.000, 0.500) (multiplicity 2)
Ga (0.000, 0.500, 0.222) (multiplicity 4)
Ga (0.250, 0.250, 0.204) (multiplicity 8)
Tc (0.219, 0.500, 0.500) (multiplicity 4)

No. 5
Starting from a DFT-relaxed cell (PBE, Alexandria), the PXRD pattern of LiTm2Ga6Tc was simulated for Cu Ka.
Kinematic intensities with the Lorentz-polarization factor, no thermal factor.

Main lines, sorted by position (2θ from 5° to 70°):
index	Position (°2θ)	d [Å]	Rel. int.
0 0 1	13.5	6.557	76.2
0 1 0	16.3	5.441	77.5
0 0 2	27.2	3.278	49.7
1 1 2	30.1	2.969	60.9
0 2 1	32.5	2.756	93.5
2 0 1	36.5	2.464	100.0
2 0 -1	37.1	2.423	46.8
1 1 -2	37.4	2.406	45.2
0 2 -1	38.8	2.324	83.0
2 2 0	40.3	2.236	79.0

Atomic structure:
Cell: 5.520 5.871 6.786 Å, 75.12 84.32 72.63°
Space group P-1 (No. 2)
One atom of each set of equivalent atoms:
Li (0.000, 0.000, 0.000) (multiplicity 1)
Tm (0.131, 0.419, 0.270) (multiplicity 2)
Ga (0.140, 0.875, 0.389) (multiplicity 2)
Ga (0.331, 0.647, 0.844) (multiplicity 2)
Ga (0.383, 0.106, 0.711) (multiplicity 2)
Tc (0.500, 0.500, 0.500) (multiplicity 1)

No. 6
Starting from a DFT-relaxed cell (PBE, Alexandria), the PXRD pattern of LiGa3Te5 was simulated for Cu Ka.
Kinematic intensities with the Lorentz-polarization factor, no thermal factor.

Main lines, sorted by position (2θ from 5° to 70°):
index	Position (°2θ)	d [Å]	Rel. int.
1 1 0	12.0	7.353	20.4
4 -3 1	25.7	3.467	100.0
2 1 4	27.1	3.290	36.4
4 0 1	28.5	3.136	40.4
2 -1 6	32.2	2.782	23.0
6 -2 2	38.7	2.325	14.1
5 -4 6	44.4	2.041	25.8
2 5 0	44.5	2.038	28.9
7 -6 1	47.1	1.930	27.8
4 -1 8	47.9	1.901	14.9

Atomic structure:
Cell: 14.6949 14.6949 18.0563 Å, 90.00 90.00 120.00°
Space group R3 (No. 146, hexagonal axes)
One atom of each set of equivalent atoms:
Li (0.0000, 0.0000, 0.0000) (multiplicity 3)
Li (0.0748, 0.3946, 0.2408) (multiplicity 9)
Ga (0.0007, 0.5855, 0.8169) (multiplicity 9)
Ga (0.0006, 0.5876, 0.3213) (multiplicity 9)
Ga (0.0797, 0.8884, 0.3295) (multiplicity 9)
Ga (0.1930, 0.1123, 0.8047) (multiplicity 9)
Te (0.0000, 0.0000, 0.3948) (multiplicity 3)
Te (0.0000, 0.0000, 0.7419) (multiplicity 3)
Te (0.0003, 0.8338, 0.5686) (multiplicity 9)
Te (0.0015, 0.4160, 0.0684) (multiplicity 9)
Te (0.0348, 0.5708, 0.4661) (multiplicity 9)
Te (0.0588, 0.1959, 0.1902) (multiplicity 9)
Te (0.1311, 0.7632, 0.0048) (multiplicity 9)
Te (0.1911, 0.4651, 0.6112) (multiplicity 9)

No. 7
Starting from a DFT-relaxed cell (PBE, Alexandria), the PXRD pattern of LiGa2Te2 was simulated for Cu Ka.
Kinematic intensities with the Lorentz-polarization factor, no thermal factor.

Main lines, sorted by position (2θ from 5° to 70°):
index	Position (°2θ)	d [Å]	Rel. int.
1 1 0	15.2	5.813	32.1
2 0 0	21.6	4.110	82.1
2 2 0	30.8	2.906	42.9
2 0 1	31.1	2.880	100.0
2 1 1	33.0	2.718	77.6
2 2 1	38.2	2.359	44.5
3 2 0	39.5	2.280	30.1
0 0 2	44.9	2.018	22.2
4 2 0	49.6	1.838	17.6
4 0 1	49.8	1.831	48.1

Atomic structure:
Cell: 8.221 8.221 4.036 Å, 90.00 90.00 90.00°
Space group P4/mbm (No. 127)
One atom of each set of equivalent atoms:
Li (0.000, 0.000, 0.000) (multiplicity 2)
Ga (0.112, 0.388, 0.500) (multiplicity 4)
Te (0.224, 0.724, 0.000) (multiplicity 4)

No. 8
Starting from a DFT-relaxed cell (PBE, Alexandria), the PXRD pattern of LiGaTe2 was simulated for Cu Ka.
Kinematic intensities with the Lorentz-polarization factor, no thermal factor.

Main lines, sorted by position (2θ from 5° to 70°):
index	Position (°2θ)	d [Å]	Rel. int.
0 1 2	24.4	3.652	85.0
1 1 0	24.7	3.602	100.0
1 0 2	28.3	3.157	27.5
0 0 4	40.0	2.256	20.0
1 2 2	40.7	2.215	72.8
2 0 0	40.9	2.209	18.9
1 1 4	47.6	1.912	33.5
2 1 2	48.1	1.890	26.6
0 3 2	48.3	1.884	17.9
2 3 2	65.1	1.433	20.9

Atomic structure:
Cell: 4.418 6.220 9.024 Å, 90.00 90.03 90.00°
Space group P2_1 (No. 4)
One atom of each set of equivalent atoms:
Li (0.249, 0.000, 0.121) (multiplicity 2)
Ga (0.249, 0.953, 0.628) (multiplicity 2)
Te (0.251, 0.720, 0.376) (multiplicity 2)
Te (0.251, 0.745, 0.872) (multiplicity 2)

No. 9
Starting from a DFT-relaxed cell (PBE, Alexandria), the PXRD pattern of Li2Th2Ga3 was simulated for Cu Ka.
Kinematic intensities with the Lorentz-polarization factor, no thermal factor.

Main lines, sorted by position (2θ from 5° to 70°):
index	Position (°2θ)	d [Å]	Rel. int.
0 2 0	9.3	9.501	25.4
1 1 0	20.3	4.379	24.8
0 4 1	22.6	3.931	27.3
0 0 2	25.5	3.500	28.5
0 6 1	31.0	2.885	22.7
1 1 2	32.8	2.734	70.1
1 5 1	33.4	2.682	100.0
2 0 0	40.1	2.250	26.1
0 4 3	43.2	2.094	19.4
1 9 2	54.7	1.677	14.0

Atomic structure:
Cell: 4.500 19.001 6.999 Å, 90.00 90.00 90.00°
Space group Cmcm (No. 63)
One atom of each set of equivalent atoms:
Li (0.000, 0.189, 0.064) (multiplicity 8)
Th (0.000, 0.345, 0.250) (multiplicity 4)
Th (0.000, 0.451, 0.750) (multiplicity 4)
Ga (0.000, 0.062, 0.567) (multiplicity 8)
Ga (0.000, 0.279, 0.750) (multiplicity 4)

No. 10
Starting from a DFT-relaxed cell (PBE, Alexandria), the PXRD pattern of Li3Th3Ga8 was simulated for Cu Ka.
Kinematic intensities with the Lorentz-polarization factor, no thermal factor.

Main lines, sorted by position (2θ from 5° to 70°):
index	Position (°2θ)	d [Å]	Rel. int.
0 1 3	21.6	4.119	47.5
1 1 0	22.5	3.952	43.7
1 0 3	28.2	3.165	53.7
0 2 4	32.3	2.769	55.9
1 2 3	34.3	2.616	97.0
1 1 4	34.5	2.597	70.7
0 3 3	34.9	2.570	37.5
1 3 0	35.5	2.528	100.0
2 0 0	41.4	2.183	44.5
0 1 7	47.2	1.927	41.6

Atomic structure:
Cell: 4.365 9.301 13.783 Å, 90.00 90.00 90.00°
Space group Immm (No. 71)
One atom of each set of equivalent atoms:
Li (0.000, 0.000, 0.000) (multiplicity 2)
Li (0.000, 0.303, 0.500) (multiplicity 4)
Th (0.000, 0.500, 0.000) (multiplicity 2)
Th (0.000, 0.500, 0.294) (multiplicity 4)
Ga (0.000, 0.139, 0.344) (multiplicity 8)
Ga (0.000, 0.214, 0.133) (multiplicity 8)

No. 11
Starting from a DFT-relaxed cell (PBE, Alexandria), the PXRD pattern of Li2ThGa2 was simulated for Cu Ka.
Kinematic intensities with the Lorentz-polarization factor, no thermal factor.

Main lines, sorted by position (2θ from 5° to 70°):
index	Position (°2θ)	d [Å]	Rel. int.
0 0 2	17.1	5.173	32.3
1 0 -1	22.3	3.994	74.0
1 1 0	29.2	3.061	36.7
1 0 3	33.2	2.698	71.4
1 1 2	34.0	2.635	100.0
2 0 0	41.7	2.165	41.3
2 1 1	47.8	1.903	21.0
1 0 -5	48.8	1.867	32.2
2 1 -3	54.3	1.688	36.2
2 1 5	66.1	1.414	26.1

Atomic structure:
Cell: 4.330 4.329 10.347 Å, 90.00 90.00 90.00°
Space group P2_1/m (No. 11)
One atom of each set of equivalent atoms:
Li (0.249, 0.250, 0.122) (multiplicity 2)
Li (0.250, 0.750, 0.500) (multiplicity 2)
Th (0.250, 0.250, 0.754) (multiplicity 2)
Ga (0.250, 0.250, 0.358) (multiplicity 2)
Ga (0.251, 0.750, 0.000) (multiplicity 2)

No. 12
Starting from a DFT-relaxed cell (PBE, Alexandria), the PXRD pattern of LiTiGa was simulated for Cu Ka.
Kinematic intensities with the Lorentz-polarization factor, no thermal factor.

Main lines, sorted by position (2θ from 5° to 70°):
index	Position (°2θ)	d [Å]	Rel. int.
0 2 0	13.4	6.603	85.3
1 1 1	33.8	2.655	26.3
1 3 1	39.0	2.308	100.0
0 6 0	41.0	2.201	21.1
0 0 2	44.5	2.035	17.0
1 5 1	48.1	1.892	16.1
2 0 0	50.2	1.817	11.7
0 6 2	62.1	1.494	11.5
2 6 0	66.8	1.401	9.2
2 0 2	69.3	1.355	8.6

Atomic structure:
Cell: 3.634 13.205 4.069 Å, 90.00 90.00 90.00°
Space group Cmmm (No. 65)
One atom of each set of equivalent atoms:
Li (0.000, 0.000, 0.000) (multiplicity 2)
Li (0.000, 0.500, 0.500) (multiplicity 2)
Ti (0.000, 0.174, 0.500) (multiplicity 4)
Ga (0.000, 0.330, 0.000) (multiplicity 4)